Structure and computed X-ray diffraction stick pattern of VFeMoO7 (a cell relaxed with GGA+U; Cu Kα (weighted mean of Kα1 and Kα2)).

Largest 8 diffraction maxima, low angle first, 2θ = 15–90°:
| d/Å | I (rel.) | h k l |
| --- | --- | --- |
| 5.417 | 69 | 0 1 -1 |
| 4.174 | 40 | 1 -1 1 |
| 3.971 | 40 | -1 1 1 |
| 3.905 | 41 | 1 1 0 |
| 3.399 | 42 | 1 1 1 |
| 3.323 | 93 | 0 2 0 |
| 3.285 | 100 | 1 0 -2 |
| 3.206 | 72 | 1 0 2 |

Cell and atoms:
```
VFeMoO7
1.0
5.6475 0.0000 0.0000
-1.2935 6.6869 0.0000
-0.0372 -0.8938 8.0049
V Fe Mo O
2 2 2 14
direct
0.1909 0.2599 0.3356 V
0.8091 0.7401 0.6644 V
0.3272 0.8075 0.4042 Fe
0.6728 0.1925 0.5958 Fe
0.2031 0.2859 0.8918 Mo
0.7969 0.7141 0.1082 Mo
0.0692 0.8000 0.2327 O
0.0868 0.8025 0.5840 O
0.1690 0.2045 0.1087 O
0.2699 0.5452 0.9012 O
0.2952 0.5087 0.3862 O
0.3899 0.1234 0.4258 O
0.4375 0.1880 0.7829 O
0.5625 0.8120 0.2171 O
0.6101 0.8766 0.5742 O
0.7048 0.4913 0.6138 O
0.7301 0.4548 0.0988 O
0.8310 0.7955 0.8913 O
0.9132 0.1975 0.4160 O
0.9308 0.2000 0.7673 O
```